(1)
For VO2, the GGA+U geometry in the Materials Project gives the calculated XRD peak list in this record (Cu Kα (weighted mean of Kα1 and Kα2)).
Neutral-atom scattering factors, no anomalous dispersion.

Main lines, most intense first (2θ from 10° to 90°):
hkl 0 2 0, d 5.382, 2θ = 16.47°, I = 100.0
hkl 2 2 0, d 2.354, 2θ = 38.23°, I = 19.3
hkl 2 4 0, d 1.876, 2θ = 48.52°, I = 16.6
hkl 2 0 0, d 2.618, 2θ = 34.26°, I = 8.6
hkl 1 4 2, d 1.835, 2θ = 49.69°, I = 8.3
hkl 1 2 2, d 2.273, 2θ = 39.65°, I = 8.0

Atomic structure:
```
data_VO2
_chemical_formula_sum 'V8 O16'
_symmetry_space_group_name_H-M 'P 1 21/m 1'
_symmetry_Int_Tables_number 11
_symmetry_space_group_name_Hall '-P 2yb'
_cell_length_a 5.2436
_cell_length_b 10.7647
_cell_length_c 5.8776
_cell_angle_alpha 90.00
_cell_angle_beta 92.85
_cell_angle_gamma 90.00
loop_
_atom_site_label
_atom_site_type_symbol
_atom_site_fract_x
_atom_site_fract_y
_atom_site_fract_z
V1 V 0.0000 0.0000 0.0000
V2 V 0.0000 0.0000 0.5000
V3 V 0.4984 0.0047 0.2502
O1 O 0.1609 0.5910 0.7435
O2 O 0.1639 0.5881 0.2442
O3 O 0.3371 0.0896 0.0043
O4 O 0.3381 0.0896 0.5088
```

---

(2)
For VO2, the GGA+U geometry in the Materials Project gives the calculated XRD peak list in this record (Cu Kα (weighted mean of Kα1 and Kα2)).
Neutral-atom scattering factors, no anomalous dispersion.

Main lines, most intense first (2θ from 10° to 90°):
hkl 0 1 -1, d 3.993, 2θ = 22.26°, I = 100.0
hkl 2 0 1, d 2.390, 2θ = 37.64°, I = 84.8
hkl 0 1 1, d 3.880, 2θ = 22.92°, I = 83.5
hkl 1 1 2, d 3.159, 2θ = 28.25°, I = 79.3
hkl 1 1 -1, d 3.301, 2θ = 27.01°, I = 64.5
hkl 1 2 -2, d 1.960, 2θ = 46.32°, I = 60.8

Atomic structure:
```
data_VO2
_chemical_formula_sum 'V5 O10'
_symmetry_space_group_name_H-M 'P -1'
_symmetry_Int_Tables_number 2
_symmetry_space_group_name_Hall '-P 1'
_cell_length_a 5.3655
_cell_length_b 5.4169
_cell_length_c 7.2392
_cell_angle_alpha 82.60
_cell_angle_beta 70.14
_cell_angle_gamma 62.99
loop_
_atom_site_label
_atom_site_type_symbol
_atom_site_fract_x
_atom_site_fract_y
_atom_site_fract_z
V1 V 0.0000 0.0000 0.0000
V2 V 0.2127 0.4984 0.6107
V3 V 0.4098 0.0078 0.2204
O1 O 0.0580 0.7599 0.8072
O2 O 0.1916 0.1889 0.7854
O3 O 0.2200 0.2932 0.3953
O4 O 0.3824 0.7110 0.4084
O5 O 0.4106 0.8177 0.0135
```

---

(3)
For VO2, the GGA+U geometry in the Materials Project gives the calculated XRD peak list in this record (Cu Kα (weighted mean of Kα1 and Kα2)).
Neutral-atom scattering factors, no anomalous dispersion.

Main lines, most intense first (2θ from 10° to 90°):
hkl 1 0 1, d 4.258, 2θ = 20.86°, I = 100.0
hkl 2 1 0, d 2.528, 2θ = 35.51°, I = 38.1
hkl 3 0 1, d 2.571, 2θ = 34.90°, I = 34.2
hkl 2 0 1, d 3.312, 2θ = 26.92°, I = 25.1
hkl 2 1 1, d 2.238, 2θ = 40.30°, I = 23.6
hkl 3 1 1, d 1.962, 2θ = 46.26°, I = 20.8

Atomic structure:
```
data_VO2
_chemical_formula_sum 'V4 O8'
_symmetry_space_group_name_H-M 'P n m a'
_symmetry_Int_Tables_number 62
_symmetry_space_group_name_Hall '-P 2ac 2n'
_cell_length_a 9.1277
_cell_length_b 3.0361
_cell_length_c 4.8136
_cell_angle_alpha 90.00
_cell_angle_beta 90.00
_cell_angle_gamma 90.00
loop_
_atom_site_label
_atom_site_type_symbol
_atom_site_fract_x
_atom_site_fract_y
_atom_site_fract_z
V1 V 0.1358 0.2500 0.0747
O1 O 0.0165 0.7500 0.2102
O2 O 0.2381 0.7500 0.8786
```

---

(4)
For V2O5, the GGA+U geometry in the Materials Project gives the calculated XRD peak list in this record (Cu Kα (weighted mean of Kα1 and Kα2)).
Neutral-atom scattering factors, no anomalous dispersion.

Main lines, most intense first (2θ from 10° to 90°):
hkl 0 0 2, d 8.697, 2θ = 10.17°, I = 100.0
hkl 0 1 3, d 3.201, 2θ = 27.87°, I = 23.4
hkl 1 0 1, d 3.651, 2θ = 24.38°, I = 14.4
hkl 1 0 3, d 3.140, 2θ = 28.43°, I = 10.8
hkl 1 1 0, d 2.677, 2θ = 33.47°, I = 8.0
hkl 0 0 4, d 4.348, 2θ = 20.42°, I = 8.0

Atomic structure:
```
data_V2O5
_chemical_formula_sum 'V4 O10'
_symmetry_space_group_name_H-M 'I m m m'
_symmetry_Int_Tables_number 71
_symmetry_space_group_name_Hall '-I 2 2'
_cell_length_a 3.7345
_cell_length_b 3.8396
_cell_length_c 17.3937
_cell_angle_alpha 90.00
_cell_angle_beta 90.00
_cell_angle_gamma 90.00
loop_
_atom_site_label
_atom_site_type_symbol
_atom_site_fract_x
_atom_site_fract_y
_atom_site_fract_z
V1 V 0.0000 0.0000 0.2044
O1 O 0.0000 0.0000 0.1121
O2 O 0.0000 0.5000 0.0000
O3 O 0.0000 0.5000 0.2492
```

---

(5)
For V2O3, the GGA+U geometry in the Materials Project gives the calculated XRD peak list in this record (Cu Kα (weighted mean of Kα1 and Kα2)).
Neutral-atom scattering factors, no anomalous dispersion.

Main lines, most intense first (2θ from 10° to 90°):
hkl 1 1 4, d 2.655, 2θ = 33.75°, I = 100.0
hkl 3 1 4, d 1.499, 2θ = 61.92°, I = 29.6
hkl 0 2 0, d 2.735, 2θ = 32.74°, I = 24.5
hkl 2 2 0, d 1.872, 2θ = 48.64°, I = 23.0
hkl 2 0 0, d 2.567, 2θ = 34.95°, I = 22.4
hkl 1 1 1, d 3.633, 2θ = 24.50°, I = 18.2

Atomic structure:
```
data_V2O3
_chemical_formula_sum 'V16 O24'
_symmetry_space_group_name_H-M 'P b c a'
_symmetry_Int_Tables_number 61
_symmetry_space_group_name_Hall '-P 2ac 2ab'
_cell_length_a 5.1348
_cell_length_b 5.4701
_cell_length_c 15.0683
_cell_angle_alpha 90.00
_cell_angle_beta 90.00
_cell_angle_gamma 90.00
loop_
_atom_site_label
_atom_site_type_symbol
_atom_site_fract_x
_atom_site_fract_y
_atom_site_fract_z
V1 V 0.0006 0.1839 0.0734
V2 V 0.0028 0.2492 0.3208
O1 O 0.1420 0.1160 0.2025
O2 O 0.1501 0.6637 0.5509
O3 O 0.1992 0.5331 0.8754
```

---

(6)
For VO2, the GGA+U geometry in the Materials Project gives the calculated XRD peak list in this record (Cu Kα (weighted mean of Kα1 and Kα2)).
Neutral-atom scattering factors, no anomalous dispersion.

Main lines, most intense first (2θ from 10° to 90°):
hkl 0 2 0, d 5.341, 2θ = 16.60°, I = 100.0
hkl 2 2 1, d 2.311, 2θ = 38.97°, I = 17.9
hkl 2 4 1, d 1.850, 2θ = 49.27°, I = 16.6
hkl 0 2 2, d 2.346, 2θ = 38.38°, I = 9.9
hkl 0 4 2, d 1.867, 2θ = 48.78°, I = 8.1
hkl 2 6 1, d 1.462, 2θ = 63.63°, I = 7.7

Atomic structure:
```
data_VO2
_chemical_formula_sum 'V8 O16'
_symmetry_space_group_name_H-M 'P m m n'
_symmetry_Int_Tables_number 59
_cell_length_a 5.8865
_cell_length_b 10.6819
_cell_length_c 5.2216
_cell_angle_alpha 90.00
_cell_angle_beta 90.00
_cell_angle_gamma 90.00
loop_
_symmetry_equiv_pos_as_xyz
'x,y,z'
'-x,-y,-z'
'-x+1/2,-y+1/2,z'
'x+1/2,y+1/2,-z'
'x+1/2,-y,-z'
'-x+1/2,y,z'
'-x,y+1/2,-z'
'x,-y+1/2,z'
loop_
_atom_site_label
_atom_site_type_symbol
_atom_site_fract_x
_atom_site_fract_y
_atom_site_fract_z
V1 V 0.0000 0.0000 0.0000
V2 V 0.2500 0.0122 0.4953
O1 O 0.0049 0.5897 0.6618
O2 O 0.2500 0.0936 0.8301
O3 O 0.2500 0.5879 0.1532
```

---

(7)
For VO2, the GGA+U geometry in the Materials Project gives the calculated XRD peak list in this record (Cu Kα (weighted mean of Kα1 and Kα2)).
Neutral-atom scattering factors, no anomalous dispersion.

Main lines, most intense first (2θ from 10° to 90°):
hkl 1 1 0, d 6.068, 2θ = 14.60°, I = 100.0
hkl 2 2 0, d 3.034, 2θ = 29.44°, I = 89.8
hkl 1 2 1, d 2.719, 2θ = 32.95°, I = 80.5
hkl 1 0 1, d 3.514, 2θ = 25.34°, I = 78.2
hkl 3 3 0, d 2.023, 2θ = 44.81°, I = 61.6
hkl 0 0 2, d 1.926, 2θ = 47.19°, I = 36.7

Atomic structure:
```
data_VO2
_chemical_formula_sum 'V8 O16'
_symmetry_space_group_name_H-M 'I 4/m'
_symmetry_Int_Tables_number 87
_symmetry_space_group_name_Hall '-I 4'
_cell_length_a 8.5811
_cell_length_b 8.5811
_cell_length_c 3.8521
_cell_angle_alpha 90.00
_cell_angle_beta 90.00
_cell_angle_gamma 90.00
loop_
_atom_site_label
_atom_site_type_symbol
_atom_site_fract_x
_atom_site_fract_y
_atom_site_fract_z
V1 V 0.0028 0.7036 0.0000
O1 O 0.0014 0.6491 0.5000
O2 O 0.1552 0.1577 0.0000
```

---

(8)
For VO2, the GGA+U geometry in the Materials Project gives the calculated XRD peak list in this record (Cu Kα (weighted mean of Kα1 and Kα2)).
Neutral-atom scattering factors, no anomalous dispersion.

Main lines, most intense first (2θ from 10° to 90°):
hkl 0 2 0, d 4.391, 2θ = 20.23°, I = 100.0
hkl 0 1 2, d 4.515, 2θ = 19.66°, I = 81.6
hkl 1 1 2, d 2.507, 2θ = 35.81°, I = 65.2
hkl 0 3 2, d 2.558, 2θ = 35.08°, I = 32.8
hkl 1 2 4, d 1.807, 2θ = 50.50°, I = 29.3
hkl 0 0 4, d 2.632, 2θ = 34.06°, I = 28.0

Atomic structure:
```
data_VO2
_chemical_formula_sum 'V8 O16'
_symmetry_space_group_name_H-M 'P m n 21'
_symmetry_Int_Tables_number 31
_symmetry_space_group_name_Hall 'P 2ac -2'
_cell_length_a 3.0152
_cell_length_b 8.7811
_cell_length_c 10.5282
_cell_angle_alpha 90.00
_cell_angle_beta 90.00
_cell_angle_gamma 90.00
loop_
_atom_site_label
_atom_site_type_symbol
_atom_site_fract_x
_atom_site_fract_y
_atom_site_fract_z
V1 V 0.0000 0.1713 0.0000
V2 V 0.0000 0.1919 0.5117
V3 V 0.0000 0.6742 0.2928
V4 V 0.0000 0.6896 0.7817
O1 O 0.0000 0.1768 0.3229
O2 O 0.0000 0.2722 0.6764
O3 O 0.0000 0.3614 0.9134
O4 O 0.0000 0.4590 0.2532
O5 O 0.0000 0.6756 0.9653
O6 O 0.0000 0.7773 0.6102
O7 O 0.0000 0.8614 0.3736
O8 O 0.0000 0.9566 0.0287
```